Structure and computed powder XRD pattern of SmTmOs4 (a structure optimized by DFT (GGA-PBE); Cu Kα X-rays).
Peak positions follow from Bragg's law for the DFT cell and can differ from measured ones.

Peak list (8 most intense, 2θ from 10° to 90°, in order of rising 2θ)
| 2θ (°) | intensity |
| --- | --- |
| 20.26 | 10.9 |
| 33.38 | 22.1 |
| 39.36 | 100.0 |
| 41.19 | 45.8 |
| 63.69 | 32.8 |
| 70.12 | 29.4 |
| 83.50 | 11.8 |
| 84.69 | 18.0 |

Cell and atoms:
```
6
Lattice="0.000 3.796 3.796 3.796 0.000 3.796 3.796 3.796 0.000" Properties=species:S:1:pos:R:3 pbc="T T T"
Sm 0.000 0.000 0.000
Tm 5.694 5.694 5.694
Os 2.848 2.848 2.848
Os 4.744 4.744 2.848
Os 4.744 2.848 4.744
Os 2.848 4.744 4.744
```


Structure and computed powder XRD pattern of Sm3ZnOs (a structure optimized by DFT (GGA-PBE); Cu Kα X-rays).
Peak positions follow from Bragg's law for the DFT cell and can differ from measured ones.

Peak list (8 most intense, 2θ from 10° to 90°, in order of rising 2θ)
| 2θ (°) | intensity |
| --- | --- |
| 11.10 | 54.4 |
| 31.18 | 69.8 |
| 32.59 | 60.1 |
| 34.98 | 100.0 |
| 35.63 | 61.0 |
| 38.55 | 61.2 |
| 40.26 | 51.2 |
| 56.99 | 29.2 |

Cell and atoms:
```
10
Lattice="0.000 4.894 7.969 3.253 0.000 7.969 3.253 4.894 0.000" Properties=species:S:1:pos:R:3 pbc="T T T"
Sm 3.253 4.894 3.148
Sm 3.253 3.062 6.296
Sm 3.253 3.062 9.642
Sm 3.253 6.726 6.296
Sm 3.253 6.726 9.642
Sm 3.253 4.894 12.790
Zn 5.264 4.894 7.969
Zn 1.242 4.894 7.969
Os 1.626 2.447 3.985
Os 4.879 7.341 11.954
```


Structure and computed powder XRD pattern of Th5Sn2Os2 (a structure optimized by DFT (GGA-PBE); Cu Kα X-rays).
Peak positions follow from Bragg's law for the DFT cell and can differ from measured ones.

Peak list (8 most intense, 2θ from 10° to 90°, in order of rising 2θ)
| 2θ (°) | intensity |
| --- | --- |
| 27.70 | 47.7 |
| 27.89 | 100.0 |
| 32.78 | 84.9 |
| 33.40 | 88.2 |
| 33.80 | 49.0 |
| 35.46 | 80.9 |
| 35.89 | 63.4 |
| 48.66 | 40.9 |

Cell and atoms:
```
18
Lattice="-8.512 4.675 3.220 8.512 -4.675 3.220 8.512 4.675 -3.220" Properties=species:S:1:pos:R:3 pbc="T T T"
Th 1.030 1.941 0.000
Th 7.481 1.941 0.000
Th 4.256 3.835 -1.211
Th 4.256 0.840 2.009
Th -2.535 3.633 2.007
Th 2.535 -1.042 5.228
Th 1.030 2.734 3.220
Th 7.481 2.734 3.220
Th 2.535 5.717 2.007
Th 5.977 5.717 2.007
Sn 1.395 -0.623 2.087
Sn 7.117 -0.623 2.087
Sn 7.117 5.298 -1.133
Sn 9.907 0.623 2.087
Os 0.000 4.675 1.370
Os 0.000 0.000 4.591
Os 4.256 3.552 2.187
Os -4.256 5.798 2.187
```


Structure and computed powder XRD pattern of Th4Sn2Os (a structure optimized by DFT (GGA-PBE); Cu Kα X-rays).
Peak positions follow from Bragg's law for the DFT cell and can differ from measured ones.

Peak list (8 most intense, 2θ from 10° to 90°, in order of rising 2θ)
| 2θ (°) | intensity |
| --- | --- |
| 28.69 | 36.6 |
| 29.07 | 48.2 |
| 31.21 | 100.0 |
| 32.44 | 60.7 |
| 32.56 | 52.3 |
| 32.84 | 93.8 |
| 34.60 | 49.4 |
| 46.11 | 44.0 |

Cell and atoms:
```
14
Lattice="6.221 0.000 0.000 0.000 6.658 0.000 -1.577 0.000 9.871" Properties=species:S:1:pos:R:3 pbc="T T T"
Th 0.883 1.665 0.925
Th 0.414 3.378 7.241
Th 0.414 6.609 7.241
Th 1.211 4.994 4.055
Th 3.433 1.665 5.816
Th 4.230 0.049 2.630
Th 4.230 3.280 2.630
Th 3.761 4.994 8.946
Sn 0.484 1.665 4.290
Sn 2.361 4.994 0.309
Sn 2.283 1.665 9.562
Sn 4.161 4.994 5.581
Os 0.017 4.994 1.676
Os 4.627 1.665 8.195
```


Structure and computed powder XRD pattern of ThSn2Os (a structure optimized by DFT (GGA-PBE); Cu Kα X-rays).
Peak positions follow from Bragg's law for the DFT cell and can differ from measured ones.

Peak list (8 most intense, 2θ from 10° to 90°, in order of rising 2θ)
| 2θ (°) | intensity |
| --- | --- |
| 24.96 | 15.0 |
| 34.62 | 100.0 |
| 36.53 | 85.2 |
| 51.21 | 33.1 |
| 62.05 | 19.2 |
| 63.30 | 35.6 |
| 66.97 | 14.8 |
| 84.54 | 16.7 |

Cell and atoms:
```
4
Lattice="2.591 1.496 3.921 -2.591 1.496 3.921 0.000 -2.992 3.921" Properties=species:S:1:pos:R:3 pbc="T T T"
Th 0.000 0.000 0.000
Sn 0.000 0.000 3.043
Sn 0.000 0.000 8.720
Os 0.000 0.000 5.882
```


Structure and computed powder XRD pattern of Ti6SnOs (a structure optimized by DFT (GGA-PBE); Cu Kα X-rays).
Peak positions follow from Bragg's law for the DFT cell and can differ from measured ones.

Peak list (8 most intense, 2θ from 10° to 90°, in order of rising 2θ)
| 2θ (°) | intensity |
| --- | --- |
| 16.47 | 26.5 |
| 26.00 | 24.4 |
| 28.04 | 15.6 |
| 39.13 | 100.0 |
| 39.56 | 23.7 |
| 40.58 | 23.4 |
| 71.48 | 15.1 |
| 72.87 | 15.1 |

Cell and atoms:
```
8
Lattice="4.446 0.000 0.000 0.000 3.334 4.556 0.000 -3.334 4.556" Properties=species:S:1:pos:R:3 pbc="T T T"
Ti 0.000 0.000 0.000
Ti 0.000 -1.520 2.251
Ti 0.000 1.520 2.251
Ti 2.223 0.000 1.926
Ti 2.223 -1.534 4.388
Ti 2.223 1.534 4.388
Sn 2.223 0.000 6.779
Os 0.000 0.000 4.415
```


Structure and computed powder XRD pattern of Tm6SnOs2 (a structure optimized by DFT (GGA-PBE); Cu Kα X-rays).
Peak positions follow from Bragg's law for the DFT cell and can differ from measured ones.

Peak list (8 most intense, 2θ from 10° to 90°, in order of rising 2θ)
| 2θ (°) | intensity |
| --- | --- |
| 13.39 | 50.3 |
| 32.11 | 100.0 |
| 33.69 | 74.7 |
| 34.85 | 86.1 |
| 35.63 | 94.5 |
| 35.73 | 52.5 |
| 39.01 | 43.7 |
| 39.76 | 53.8 |

Cell and atoms:
```
18
Lattice="-4.659 4.695 5.178 4.659 -4.695 5.178 4.659 4.695 -5.178" Properties=species:S:1:pos:R:3 pbc="T T T"
Tm 4.659 2.718 -2.666
Tm 2.643 1.725 0.000
Tm 6.676 1.725 0.000
Tm 1.744 4.695 -1.727
Tm 2.915 0.000 3.451
Tm 0.000 1.977 2.512
Tm 4.659 2.718 2.666
Tm 1.744 4.695 1.727
Tm 2.915 0.000 6.906
Tm -2.017 2.970 5.178
Tm 2.017 2.970 5.178
Tm 0.000 1.977 7.844
Sn 0.000 0.000 0.000
Sn 0.000 0.000 5.178
Os 4.659 0.000 1.286
Os 0.000 3.095 0.000
Os 0.000 6.295 0.000
Os 0.000 4.695 3.892
```


Structure and computed powder XRD pattern of ZnSn2Os (a structure optimized by DFT (GGA-PBE); Cu Kα X-rays).
Peak positions follow from Bragg's law for the DFT cell and can differ from measured ones.

Peak list (8 most intense, 2θ from 10° to 90°, in order of rising 2θ)
| 2θ (°) | intensity |
| --- | --- |
| 18.38 | 96.6 |
| 19.69 | 100.0 |
| 32.91 | 28.4 |
| 37.25 | 62.7 |
| 37.66 | 32.1 |
| 42.47 | 28.7 |
| 46.40 | 35.6 |
| 50.54 | 26.5 |

Cell and atoms:
```
8
Lattice="-4.828 4.828 2.549 4.828 -4.828 2.549 4.828 4.828 -2.549" Properties=species:S:1:pos:R:3 pbc="T T T"
Zn 4.828 2.414 0.637
Zn 0.000 2.414 1.912
Sn 0.000 0.000 0.000
Sn 2.414 2.414 -1.275
Sn 2.414 -2.414 1.275
Sn 0.000 4.828 0.000
Os 4.828 -2.414 1.912
Os 0.000 7.242 0.637
```


Structure and computed powder XRD pattern of SrTeOs4 (a structure optimized by DFT (GGA-PBE); Cu Kα X-rays).
Peak positions follow from Bragg's law for the DFT cell and can differ from measured ones.

Peak list (8 most intense, 2θ from 10° to 90°, in order of rising 2θ)
| 2θ (°) | intensity |
| --- | --- |
| 20.13 | 32.3 |
| 33.16 | 12.9 |
| 39.09 | 100.0 |
| 40.91 | 59.9 |
| 47.60 | 15.1 |
| 63.23 | 32.8 |
| 69.59 | 31.1 |
| 84.00 | 23.4 |

Cell and atoms:
```
6
Lattice="0.000 3.821 3.821 3.821 0.000 3.821 3.821 3.821 0.000" Properties=species:S:1:pos:R:3 pbc="T T T"
Sr 0.000 0.000 0.000
Te 5.731 5.731 5.731
Os 2.871 2.871 2.871
Os 4.771 4.771 2.871
Os 4.771 2.871 4.771
Os 2.871 4.771 4.771
```


Structure and computed powder XRD pattern of SrTl2Os (a structure optimized by DFT (GGA-PBE); Cu Kα X-rays).
Peak positions follow from Bragg's law for the DFT cell and can differ from measured ones.

Peak list (8 most intense, 2θ from 10° to 90°, in order of rising 2θ)
| 2θ (°) | intensity |
| --- | --- |
| 15.35 | 71.5 |
| 30.10 | 33.1 |
| 33.96 | 100.0 |
| 38.21 | 95.7 |
| 41.40 | 37.7 |
| 47.56 | 23.3 |
| 52.03 | 30.3 |
| 66.36 | 29.4 |

Cell and atoms:
```
4
Lattice="2.355 1.360 5.771 -2.355 1.360 5.771 0.000 -2.720 5.771" Properties=species:S:1:pos:R:3 pbc="T T T"
Sr 0.000 0.000 0.000
Tl 0.000 0.000 9.609
Tl 0.000 0.000 13.659
Os 0.000 0.000 3.219
```


Structure and computed powder XRD pattern of SrZr2Os (a structure optimized by DFT (GGA-PBE); Cu Kα X-rays).
Peak positions follow from Bragg's law for the DFT cell and can differ from measured ones.

Peak list (8 most intense, 2θ from 10° to 90°, in order of rising 2θ)
| 2θ (°) | intensity |
| --- | --- |
| 12.61 | 74.2 |
| 25.39 | 24.6 |
| 29.32 | 100.0 |
| 38.35 | 17.3 |
| 41.79 | 35.7 |
| 42.14 | 26.1 |
| 49.61 | 17.5 |
| 67.29 | 15.5 |

Cell and atoms:
```
4
Lattice="3.754 -2.145 0.000 3.754 2.145 0.000 -2.420 0.000 7.020" Properties=species:S:1:pos:R:3 pbc="T T T"
Sr 0.000 0.000 0.000
Zr 0.043 0.000 4.499
Zr 5.045 0.000 2.521
Os 2.544 0.000 3.510
```


Structure and computed powder XRD pattern of Ta14Os (a structure optimized by DFT (GGA-PBE); Cu Kα X-rays).
Peak positions follow from Bragg's law for the DFT cell and can differ from measured ones.

Peak list (8 most intense, 2θ from 10° to 90°, in order of rising 2θ)
| 2θ (°) | intensity |
| --- | --- |
| 36.53 | 77.1 |
| 37.63 | 35.4 |
| 38.07 | 33.3 |
| 39.13 | 67.3 |
| 40.37 | 100.0 |
| 41.38 | 48.3 |
| 64.61 | 25.2 |
| 65.33 | 23.7 |

Cell and atoms:
```
30
Lattice="10.142 0.000 0.000 0.000 10.142 0.000 0.000 0.000 5.343" Properties=species:S:1:pos:R:3 pbc="T T T"
Ta 0.363 3.753 0.000
Ta 0.665 2.603 2.672
Ta 1.032 1.032 0.000
Ta 1.318 5.434 2.672
Ta 1.838 8.304 1.323
Ta 1.838 8.304 4.020
Ta 2.468 5.736 0.000
Ta 2.603 0.665 2.672
Ta 3.233 3.233 1.349
Ta 3.233 3.233 3.994
Ta 3.753 0.363 0.000
Ta 4.039 6.103 2.672
Ta 4.406 7.674 0.000
Ta 4.708 8.824 2.672
Ta 5.434 1.318 2.672
Ta 5.736 2.468 0.000
Ta 6.103 4.039 2.672
Ta 6.389 9.779 0.000
Ta 6.909 6.909 1.349
Ta 6.909 6.909 3.994
Ta 7.539 9.478 2.672
Ta 7.674 4.406 0.000
Ta 8.304 1.838 1.323
Ta 8.304 1.838 4.020
Ta 8.824 4.708 2.672
Ta 9.110 9.110 0.000
Ta 9.478 7.539 2.672
Ta 9.779 6.389 0.000
Os 0.000 0.000 2.672
Os 5.071 5.071 0.000
```


Structure and computed powder XRD pattern of Ta5Os3 (a structure optimized by DFT (GGA-PBE); Cu Kα X-rays).
Peak positions follow from Bragg's law for the DFT cell and can differ from measured ones.

Peak list (7 most intense, 2θ from 10° to 90°, in order of rising 2θ)
| 2θ (°) | intensity |
| --- | --- |
| 39.71 | 100.0 |
| 57.31 | 5.8 |
| 57.47 | 11.5 |
| 72.04 | 23.5 |
| 72.14 | 11.7 |
| 85.55 | 9.6 |
| 85.74 | 1.9 |

Cell and atoms:
```
8
Lattice="3.215 -4.539 0.000 3.215 4.539 0.000 0.000 0.000 4.533" Properties=species:S:1:pos:R:3 pbc="T T T"
Ta 0.000 0.000 0.000
Ta 1.608 2.270 0.000
Ta 1.610 0.000 2.266
Ta 1.608 -2.270 0.000
Ta 4.820 0.000 2.266
Os 3.215 2.240 2.266
Os 3.215 0.000 0.000
Os 3.215 -2.240 2.266
```


Structure and computed powder XRD pattern of TaOs3 (a structure optimized by DFT (GGA-PBE); Cu Kα X-rays).
Peak positions follow from Bragg's law for the DFT cell and can differ from measured ones.

Peak list (8 most intense, 2θ from 10° to 90°, in order of rising 2θ)
| 2θ (°) | intensity |
| --- | --- |
| 37.08 | 17.0 |
| 40.40 | 25.4 |
| 42.45 | 100.0 |
| 56.01 | 14.9 |
| 66.96 | 11.7 |
| 74.87 | 18.9 |
| 81.20 | 13.8 |
| 82.43 | 10.4 |

Cell and atoms:
```
4
Lattice="-1.401 4.466 2.418 1.401 -4.466 2.418 1.401 4.466 -2.418" Properties=species:S:1:pos:R:3 pbc="T T T"
Ta 0.000 0.000 0.000
Os 1.401 2.270 0.835
Os 0.000 4.466 0.015
Os 0.000 2.195 3.254
```